Nd5Cu5O13: computed powder XRD pattern (Cu Kα, 1.54184 Å), based on DFT lattice parameters and positions (PBE).
Peak positions follow from Bragg's law for the DFT cell and can differ from measured ones.

Structure:
a = 8.4585 Å, b = 3.8416 Å, c = 8.5028 Å
α = 90.00°, β = 90.28°, γ = 90.00°
Space group P2/m (No. 10)
Unique sites:
Nd (0.0000, 0.0000, 0.0000) x1
Nd (0.2331, 0.0000, 0.3539) x2
Nd (0.3569, 0.0000, 0.7699) x2
Cu (0.0707, 0.5000, 0.6659) x2
Cu (0.3409, 0.5000, 0.0727) x2
Cu (0.5000, 0.5000, 0.5000) x1
O (0.0702, 0.0000, 0.6853) x2
O (0.1107, 0.5000, 0.2030) x2
O (0.2129, 0.5000, 0.8892) x2
O (0.2607, 0.5000, 0.5471) x2
O (0.3287, 0.0000, 0.0755) x2
O (0.4504, 0.5000, 0.2679) x2
O (0.5000, 0.0000, 0.5000) x1

The 10 most intense peaks (10 to 90 degrees two-theta), low angle first:
d = 3.793 Å, 2θ = 23.45°, intensity 10
d = 2.847 Å, 2θ = 31.42°, intensity 10
d = 2.699 Å, 2θ = 33.19°, intensity 100
d = 2.691 Å, 2θ = 33.29°, intensity 22
d = 2.672 Å, 2θ = 33.53°, intensity 22
d = 2.359 Å, 2θ = 38.15°, intensity 12
d = 1.921 Å, 2θ = 47.33°, intensity 20
d = 1.896 Å, 2θ = 47.98°, intensity 15
d = 1.555 Å, 2θ = 59.45°, intensity 11
d = 1.548 Å, 2θ = 59.72°, intensity 11

***

HoTiFe11N: computed powder XRD pattern (Cu Kα, 1.54184 Å), based on DFT lattice parameters and positions (PBE).
Peak positions follow from Bragg's law for the DFT cell and can differ from measured ones.

Structure:
a = 4.7929 Å, b = 8.5861 Å, c = 8.5299 Å
α = 90.00°, β = 90.00°, γ = 90.00°
Space group Imm2 (No. 44)
Unique sites:
Ho (0.0000, 0.0000, 0.0000) x2
Ti (0.0000, 0.0000, 0.3711) x2
Fe (0.0000, 0.0000, 0.6493) x2
Fe (0.0000, 0.2777, 0.5086) x4
Fe (0.0000, 0.3588, 0.0063) x4
Fe (0.0000, 0.5000, 0.2805) x2
Fe (0.0000, 0.5000, 0.7287) x2
Fe (0.2494, 0.2483, 0.7555) x8
N (0.0000, 0.5000, 0.5051) x2

The 10 most intense peaks (10 to 90 degrees two-theta), low angle first:
d = 2.991 Å, 2θ = 29.87°, intensity 42
d = 2.457 Å, 2θ = 36.57°, intensity 26
d = 2.445 Å, 2θ = 36.75°, intensity 25
d = 2.396 Å, 2θ = 37.53°, intensity 21
d = 2.147 Å, 2θ = 42.10°, intensity 36
d = 2.130 Å, 2θ = 42.43°, intensity 100
d = 2.125 Å, 2θ = 42.55°, intensity 55
d = 2.091 Å, 2θ = 43.27°, intensity 91
d = 1.879 Å, 2θ = 48.46°, intensity 25
d = 1.325 Å, 2θ = 71.13°, intensity 24

***

Mg5Si9: computed powder XRD pattern (Cu Kα, 1.54184 Å), based on DFT lattice parameters and positions (PBE).
Peak positions follow from Bragg's law for the DFT cell and can differ from measured ones.

Structure:
a = 5.7304 Å, b = 6.9185 Å, c = 13.6008 Å
α = 104.12°, β = 92.06°, γ = 108.05°
Space group P1 (No. 1)
Unique sites:
Mg (0.0000, 0.0000, 0.0000) x1
Mg (0.0162, 0.3804, 0.9182) x1
Mg (0.0337, 0.0569, 0.3559) x1
Mg (0.0862, 0.6140, 0.3858) x1
Mg (0.2385, 0.0759, 0.7902) x1
Mg (0.3488, 0.7727, 0.6269) x1
Mg (0.6314, 0.5714, 0.8633) x1
Mg (0.7548, 0.2362, 0.6887) x1
Mg (0.7786, 0.2540, 0.1657) x1
Mg (0.8135, 0.6740, 0.6513) x1
Si (0.0670, 0.0188, 0.5739) x1
Si (0.1407, 0.6289, 0.7914) x1
Si (0.2470, 0.4620, 0.1061) x1
Si (0.2488, 0.9748, 0.1745) x1
Si (0.3349, 0.3933, 0.6768) x1
Si (0.3652, 0.3674, 0.2650) x1
Si (0.3934, 0.4223, 0.4888) x1
Si (0.4344, 0.9098, 0.9342) x1
Si (0.4559, 0.0446, 0.4937) x1
Si (0.4619, 0.8711, 0.3047) x1
Si (0.4837, 0.2956, 0.9859) x1
Si (0.5397, 0.7992, 0.0834) x1
Si (0.6619, 0.2504, 0.3653) x1
Si (0.6634, 0.7689, 0.4677) x1
Si (0.7304, 0.9768, 0.8126) x1
Si (0.7403, 0.6600, 0.2538) x1
Si (0.8916, 0.6388, 0.0823) x1
Si (0.9491, 0.3460, 0.5208) x1

The 10 most intense peaks (10 to 90 degrees two-theta), low angle first:
d = 2.618 Å, 2θ = 34.25°, intensity 33
d = 2.422 Å, 2θ = 37.13°, intensity 49
d = 2.411 Å, 2θ = 37.29°, intensity 100
d = 2.399 Å, 2θ = 37.49°, intensity 80
d = 2.393 Å, 2θ = 37.59°, intensity 61
d = 2.386 Å, 2θ = 37.70°, intensity 54
d = 2.380 Å, 2θ = 37.81°, intensity 33
d = 2.272 Å, 2θ = 39.67°, intensity 86
d = 2.232 Å, 2θ = 40.40°, intensity 43
d = 2.219 Å, 2θ = 40.65°, intensity 48

***

LaU3C8: computed powder XRD pattern (Cu Kα, 1.54184 Å), based on DFT lattice parameters and positions (PBE).
Peak positions follow from Bragg's law for the DFT cell and can differ from measured ones.

Structure:
a = 7.8889 Å, b = 7.8889 Å, c = 9.3855 Å
α = 90.00°, β = 90.00°, γ = 120.00°
Space group R-3 (No. 148, hexagonal axes)
Unique sites:
La (0.0000, 0.0000, 0.0000) x3
U (0.0000, 0.5000, 0.0000) x9
C (0.0000, 0.0000, 0.4233) x6
C (0.0147, 0.5936, 0.5003) x18

The 10 most intense peaks (10 to 90 degrees two-theta), low angle first:
d = 3.210 Å, 2θ = 27.79°, intensity 100
d = 3.128 Å, 2θ = 28.53°, intensity 31
d = 2.762 Å, 2θ = 32.42°, intensity 91
d = 1.972 Å, 2θ = 46.02°, intensity 33
d = 1.934 Å, 2θ = 46.98°, intensity 31
d = 1.680 Å, 2θ = 54.62°, intensity 18
d = 1.668 Å, 2θ = 55.04°, intensity 36
d = 1.645 Å, 2θ = 55.89°, intensity 17
d = 1.605 Å, 2θ = 57.41°, intensity 17
d = 1.279 Å, 2θ = 74.13°, intensity 16

***

CsLuNb6Br18: computed powder XRD pattern (Cu Kα, 1.54184 Å), based on DFT lattice parameters and positions (PBE).
Peak positions follow from Bragg's law for the DFT cell and can differ from measured ones.

Structure:
a = 9.9126 Å, b = 9.9126 Å, c = 18.5004 Å
α = 90.00°, β = 90.00°, γ = 120.00°
Space group P-31c (No. 163)
Unique sites:
Cs (0.3333, 0.6667, 0.2500) x2
Lu (0.3333, 0.6667, 0.7500) x2
Nb (0.0392, 0.1885, 0.9350) x12
Br (0.0471, 0.2329, 0.1599) x12
Br (0.0889, 0.4522, 0.8370) x12
Br (0.1394, 0.4170, 0.4988) x12

The 10 most intense peaks (10 to 90 degrees two-theta), low angle first:
d = 8.585 Å, 2θ = 10.30°, intensity 63
d = 6.292 Å, 2θ = 14.07°, intensity 74
d = 4.369 Å, 2θ = 20.33°, intensity 36
d = 3.062 Å, 2θ = 29.17°, intensity 43
d = 2.871 Å, 2θ = 31.15°, intensity 86
d = 2.656 Å, 2θ = 33.74°, intensity 100
d = 2.618 Å, 2θ = 34.25°, intensity 41
d = 2.439 Å, 2θ = 36.86°, intensity 44
d = 2.234 Å, 2θ = 40.37°, intensity 45
d = 1.864 Å, 2θ = 48.87°, intensity 39

***

Li4GeS4: computed powder XRD pattern (Cu Kα, 1.54184 Å), based on DFT lattice parameters and positions (PBE).
Peak positions follow from Bragg's law for the DFT cell and can differ from measured ones.

Structure:
a = 13.4412 Å, b = 6.4586 Å, c = 7.8686 Å
α = 90.00°, β = 90.00°, γ = 90.00°
Space group Pna2_1 (No. 33)
Unique sites:
Li (0.0672, 0.1496, 0.0000) x4
Li (0.1561, 0.8310, 0.7566) x4
Li (0.1581, 0.8541, 0.2600) x4
Li (0.2022, 0.5128, 0.0422) x4
Ge (0.0899, 0.3493, 0.5033) x4
S (0.0673, 0.7666, 0.0085) x4
S (0.0932, 0.6924, 0.5046) x4
S (0.1691, 0.2280, 0.2696) x4
S (0.1724, 0.2156, 0.7286) x4

The 10 most intense peaks (10 to 90 degrees two-theta), low angle first:
d = 5.110 Å, 2θ = 17.35°, intensity 100
d = 4.992 Å, 2θ = 17.77°, intensity 78
d = 4.665 Å, 2θ = 19.02°, intensity 59
d = 3.395 Å, 2θ = 26.25°, intensity 77
d = 3.360 Å, 2θ = 26.53°, intensity 39
d = 3.334 Å, 2θ = 26.74°, intensity 53
d = 3.260 Å, 2θ = 27.36°, intensity 31
d = 3.229 Å, 2θ = 27.62°, intensity 63
d = 1.967 Å, 2θ = 46.14°, intensity 31
d = 1.947 Å, 2θ = 46.66°, intensity 54